The following is a theoretical PXRD pattern of La2Pu2O7. It was derived from a structure optimized by DFT (PBE), using Cu Kα.

Peak list (8 most intense, 2θ from 10° to 90°, in order of falling intensity)
hkl	d (Å)	I_rel
2 2 2	3.214	100.0
4 4 0	1.968	47.9
6 2 2	1.679	46.9
4 0 0	2.784	37.4
6 6 2	1.277	19.1
8 4 0	1.245	15.5
8 4 4	1.136	15.0
4 4 4	1.607	11.2

Crystal structure
Lattice parameters (Å, degrees): 11.135 11.135 11.135 90.00 90.00 90.00
Space group Fd-3m (No. 227, origin choice 2)
Symmetry-distinct sites (fractional):
La: 0.000 0.000 0.000 x16
Pu: 0.000 0.000 0.500 x16
O: 0.092 0.375 0.875 x48
O: 0.125 0.125 0.125 x8


The following is a theoretical PXRD pattern of PuBe4B12. It was derived from a structure optimized by DFT (PBE), using Cu Kα.

Peak list (8 most intense, 2θ from 10° to 90°, in order of falling intensity)
hkl	d (Å)	I_rel
1 0 -1	4.325	100.0
0 0 1	5.546	90.4
0 1 0	5.008	70.7
0 1 -1	4.508	50.8
-1 1 1	3.779	37.5
-1 1 2	2.570	36.4
1 1 0	2.617	34.7
1 0 0	4.079	33.3

Crystal structure
```
data_PuBe4B12
_chemical_formula_sum 'Pu1 Be4 B12'
_symmetry_space_group_name_H-M 'P 1'
_symmetry_Int_Tables_number 1
_cell_length_a 4.944
_cell_length_b 5.743
_cell_length_c 6.254
_cell_angle_alpha 98.12
_cell_angle_beta 110.49
_cell_angle_gamma 112.93
loop_
_symmetry_equiv_pos_as_xyz
'x,y,z'
loop_
_atom_site_label
_atom_site_type_symbol
_atom_site_fract_x
_atom_site_fract_y
_atom_site_fract_z
Pu1 Pu 0.000 0.000 0.000
Be1 Be 0.530 0.554 0.207
Be2 Be 0.704 0.267 0.274
Be3 Be 0.724 0.331 0.721
Be4 Be 0.830 0.983 0.473
B1 B 0.164 0.476 0.342
B2 B 0.244 0.528 0.883
B3 B 0.254 0.045 0.442
B4 B 0.266 0.788 0.279
B5 B 0.278 0.048 0.712
B6 B 0.349 0.821 0.828
B7 B 0.389 0.564 0.656
B8 B 0.444 0.364 0.428
B9 B 0.476 0.891 0.601
B10 B 0.484 0.375 0.906
B11 B 0.506 0.870 0.130
B12 B 0.895 0.489 0.098
```